(1)
Calculated X-ray powder pattern
Compound: Tb2Er5Ru4
Radiation: Cu Kα (λ = 1.5418 Å)
Structure: a cell relaxed with GGA-PBE
Lines closer than 0.1° are merged.

Structural model:
```
Tb2Er5Ru4
1.0
12.765 -1.654 0.000
12.765 1.654 0.000
-0.812 0.000 6.442
Tb Er Ru
2 5 4
direct
0.072 0.072 0.378
0.928 0.928 0.622
0.142 0.142 0.908
0.197 0.197 0.440
0.500 0.500 0.000
0.803 0.803 0.560
0.858 0.858 0.092
0.034 0.034 0.715
0.271 0.271 0.166
0.729 0.729 0.834
0.966 0.966 0.285
```

Most intense lines, 15° ≤ 2θ ≤ 90°, in order of rising 2θ:
- 2θ = 27.19°, 3.280 Å, intensity 78
- 2θ = 27.71°, 3.220 Å, intensity 73
- 2θ = 28.99°, 3.080 Å, intensity 31
- 2θ = 29.45°, 3.032 Å, intensity 29
- 2θ = 30.79°, 2.904 Å, intensity 48
- 2θ = 33.05°, 2.711 Å, intensity 93
- 2θ = 36.16°, 2.484 Å, intensity 61
- 2θ = 36.46°, 2.465 Å, intensity 49
- 2θ = 39.55°, 2.279 Å, intensity 100
- 2θ = 40.60°, 2.222 Å, intensity 54
- 2θ = 43.19°, 2.095 Å, intensity 40
- 2θ = 55.56°, 1.654 Å, intensity 35

---

(2)
Calculated X-ray powder pattern
Compound: Rb2TiF7
Radiation: Cu Kα (λ = 1.5418 Å)
Structure: a cell relaxed with GGA-PBE
Lines closer than 0.1° are merged.

Structural model:
```
Rb2TiF7
1.0
-3.118 3.118 4.681
3.118 -3.118 4.681
3.118 3.118 -4.681
Rb Ti F
2 1 7
direct
0.250 0.750 0.500
0.750 0.250 0.500
0.000 0.000 0.000
0.201 0.201 0.000
0.214 0.214 0.428
0.214 0.786 0.000
0.500 0.500 0.000
0.786 0.214 0.000
0.786 0.786 0.572
0.799 0.799 0.000
```

Most intense lines, 15° ≤ 2θ ≤ 90°, in order of rising 2θ:
- 2θ = 17.09°, 5.189 Å, intensity 26
- 2θ = 27.80°, 3.209 Å, intensity 100
- 2θ = 28.63°, 3.118 Å, intensity 45
- 2θ = 34.57°, 2.595 Å, intensity 55
- 2θ = 38.47°, 2.340 Å, intensity 25
- 2θ = 40.94°, 2.204 Å, intensity 44
- 2θ = 48.65°, 1.872 Å, intensity 16
- 2θ = 50.21°, 1.817 Å, intensity 32
- 2θ = 57.43°, 1.605 Å, intensity 25
- 2θ = 63.22°, 1.471 Å, intensity 13
- 2θ = 67.12°, 1.395 Å, intensity 14
- 2θ = 78.12°, 1.223 Å, intensity 13

---

(3)
Calculated X-ray powder pattern
Compound: Na4EuGe2Se6
Radiation: Cu Kα (λ = 1.5418 Å)
Structure: a cell relaxed with GGA-PBE
Lines closer than 0.1° are merged.

Structural model:
```
Na4EuGe2Se6
1.0
3.600 -6.223 0.000
3.600 6.223 0.000
-2.394 0.000 7.727
Na Eu Ge Se
4 1 2 6
direct
0.000 0.000 0.000
0.341 0.659 0.000
0.672 0.328 0.000
0.837 0.163 0.500
0.505 0.495 0.500
0.120 0.777 0.341
0.223 0.880 0.659
0.093 0.430 0.250
0.258 0.232 0.749
0.405 0.067 0.250
0.570 0.907 0.750
0.768 0.742 0.251
0.933 0.595 0.750
```

Most intense lines, 15° ≤ 2θ ≤ 90°, in order of rising 2θ:
- 2θ = 16.15°, 5.487 Å, intensity 7
- 2θ = 23.02°, 3.863 Å, intensity 9
- 2θ = 25.06°, 3.554 Å, intensity 15
- 2θ = 29.23°, 3.056 Å, intensity 100
- 2θ = 39.96°, 2.256 Å, intensity 27
- 2θ = 43.59°, 2.076 Å, intensity 43
- 2θ = 49.87°, 1.829 Å, intensity 8
- 2θ = 53.35°, 1.717 Å, intensity 17
- 2θ = 60.61°, 1.528 Å, intensity 7
- 2θ = 66.06°, 1.414 Å, intensity 12
- 2θ = 70.01°, 1.344 Å, intensity 9
- 2θ = 71.23°, 1.324 Å, intensity 9

---

(4)
Calculated X-ray powder pattern
Compound: Nd4Ho3Tl
Radiation: Cu Kα (λ = 1.5418 Å)
Structure: a cell relaxed with GGA-PBE
Lines closer than 0.1° are merged.

Structural model:
```
Nd4Ho3Tl
1.0
-2.498 2.498 10.185
2.498 -2.498 10.185
2.498 2.498 -10.185
Nd Ho Tl
4 3 1
direct
0.122 0.622 0.500
0.378 0.878 0.500
0.622 0.122 0.500
0.878 0.378 0.500
0.000 0.000 0.000
0.249 0.249 0.000
0.751 0.751 0.000
0.500 0.500 0.000
```

Most intense lines, 15° ≤ 2θ ≤ 90°, in order of rising 2θ:
- 2θ = 30.81°, 2.903 Å, intensity 100
- 2θ = 35.25°, 2.546 Å, intensity 17
- 2θ = 35.95°, 2.498 Å, intensity 33
- 2θ = 51.23°, 1.783 Å, intensity 24
- 2θ = 51.76°, 1.766 Å, intensity 12
- 2θ = 60.51°, 1.530 Å, intensity 14
- 2θ = 61.45°, 1.509 Å, intensity 28
- 2θ = 64.17°, 1.451 Å, intensity 12
- 2θ = 83.61°, 1.156 Å, intensity 12
- 2θ = 84.44°, 1.147 Å, intensity 6
- 2θ = 86.87°, 1.121 Å, intensity 5
- 2θ = 87.28°, 1.117 Å, intensity 5

---

(5)
Calculated X-ray powder pattern
Compound: CaSmHo2In4
Radiation: Cu Kα (λ = 1.5418 Å)
Structure: a cell relaxed with GGA-PBE
Lines closer than 0.1° are merged.

Structural model:
```
CaSmHo2In4
1.0
2.675 1.544 8.792
-2.675 1.544 8.792
0.000 -3.089 8.792
Ca Sm Ho In
1 1 2 4
direct
0.000 0.000 0.000
0.500 0.500 0.500
0.252 0.252 0.252
0.748 0.748 0.748
0.125 0.125 0.125
0.375 0.375 0.375
0.625 0.625 0.625
0.875 0.875 0.875
```

Most intense lines, 15° ≤ 2θ ≤ 90°, in order of rising 2θ:
- 2θ = 19.45°, 4.563 Å, intensity 5
- 2θ = 20.32°, 4.371 Å, intensity 6
- 2θ = 33.36°, 2.686 Å, intensity 100
- 2θ = 33.50°, 2.675 Å, intensity 99
- 2θ = 48.00°, 1.895 Å, intensity 36
- 2θ = 59.52°, 1.553 Å, intensity 18
- 2θ = 59.83°, 1.546 Å, intensity 55
- 2θ = 70.06°, 1.343 Å, intensity 11
- 2θ = 70.39°, 1.338 Å, intensity 11
- 2θ = 79.92°, 1.200 Å, intensity 16
- 2θ = 80.16°, 1.197 Å, intensity 16
- 2θ = 89.73°, 1.093 Å, intensity 6

---

(6)
Calculated X-ray powder pattern
Compound: Nd6HgOs2
Radiation: Cu Kα (λ = 1.5418 Å)
Structure: a cell relaxed with GGA-PBE
Lines closer than 0.1° are merged.

Structural model:
```
Nd6HgOs2
1.0
-4.863 4.972 5.321
4.863 -4.972 5.321
4.863 4.972 -5.321
Nd Hg Os
12 2 4
direct
0.035 0.239 0.795
0.184 0.278 0.462
0.184 0.722 0.906
0.328 0.016 0.688
0.328 0.641 0.312
0.444 0.239 0.205
0.556 0.761 0.795
0.672 0.359 0.688
0.672 0.984 0.312
0.816 0.278 0.094
0.816 0.722 0.538
0.965 0.761 0.205
0.000 0.000 0.000
0.500 0.500 0.000
0.116 0.616 0.500
0.333 0.000 0.333
0.667 0.000 0.667
0.884 0.384 0.500
```

Most intense lines, 15° ≤ 2θ ≤ 90°, in order of rising 2θ:
- 2θ = 18.24°, 4.863 Å, intensity 29
- 2θ = 30.72°, 2.910 Å, intensity 100
- 2θ = 32.52°, 2.754 Å, intensity 55
- 2θ = 33.15°, 2.703 Å, intensity 89
- 2θ = 33.69°, 2.661 Å, intensity 21
- 2θ = 33.79°, 2.653 Å, intensity 78
- 2θ = 34.07°, 2.631 Å, intensity 39
- 2θ = 36.14°, 2.485 Å, intensity 40
- 2θ = 36.97°, 2.431 Å, intensity 41
- 2θ = 37.59°, 2.393 Å, intensity 28
- 2θ = 38.37°, 2.346 Å, intensity 27
- 2θ = 57.61°, 1.600 Å, intensity 34

---

(7)
Calculated X-ray powder pattern
Compound: Sm7Ho3Tm
Radiation: Cu Kα (λ = 1.5418 Å)
Structure: a cell relaxed with GGA-PBE
Lines closer than 0.1° are merged.

Structural model:
```
Sm7Ho3Tm
1.0
7.039 0.000 0.000
0.000 5.597 0.000
-3.493 0.000 9.334
Sm Ho Tm
7 3 1
direct
0.000 0.000 0.000
0.145 0.500 0.292
0.321 0.500 0.639
0.415 0.000 0.829
0.585 0.000 0.171
0.679 0.500 0.361
0.855 0.500 0.708
0.000 0.000 0.500
0.280 0.500 0.000
0.720 0.500 0.000
0.500 0.000 0.500
```

Most intense lines, 15° ≤ 2θ ≤ 90°, in order of rising 2θ:
- 2θ = 24.85°, 3.583 Å, intensity 8
- 2θ = 31.51°, 2.839 Å, intensity 100
- 2θ = 31.85°, 2.810 Å, intensity 22
- 2θ = 31.98°, 2.799 Å, intensity 35
- 2θ = 32.94°, 2.719 Å, intensity 36
- 2θ = 36.01°, 2.494 Å, intensity 7
- 2θ = 45.76°, 1.983 Å, intensity 17
- 2θ = 51.97°, 1.760 Å, intensity 11
- 2θ = 56.70°, 1.623 Å, intensity 19
- 2θ = 57.62°, 1.600 Å, intensity 10
- 2θ = 58.27°, 1.583 Å, intensity 8
- 2θ = 62.33°, 1.490 Å, intensity 12

---

(8)
Calculated X-ray powder pattern
Compound: SrGe2Pd3
Radiation: Cu Kα (λ = 1.5418 Å)
Structure: a cell relaxed with GGA-PBE
Lines closer than 0.1° are merged.

Structural model:
```
SrGe2Pd3
1.0
8.482 -2.062 0.000
8.482 2.062 0.000
-3.130 0.000 9.788
Sr Ge Pd
3 6 9
direct
0.000 0.000 0.000
0.157 0.157 0.699
0.843 0.843 0.301
0.198 0.198 0.131
0.362 0.362 0.549
0.465 0.465 0.226
0.535 0.535 0.774
0.638 0.638 0.451
0.802 0.802 0.869
0.043 0.043 0.334
0.217 0.217 0.395
0.322 0.322 0.034
0.374 0.374 0.796
0.500 0.500 0.500
0.626 0.626 0.204
0.678 0.678 0.966
0.783 0.783 0.605
0.957 0.957 0.666
```

Most intense lines, 15° ≤ 2θ ≤ 90°, in order of rising 2θ:
- 2θ = 16.21°, 5.467 Å, intensity 21
- 2θ = 30.35°, 2.946 Å, intensity 17
- 2θ = 33.27°, 2.693 Å, intensity 14
- 2θ = 34.17°, 2.624 Å, intensity 100
- 2θ = 35.67°, 2.517 Å, intensity 28
- 2θ = 38.65°, 2.330 Å, intensity 26
- 2θ = 41.66°, 2.168 Å, intensity 30
- 2θ = 41.80°, 2.161 Å, intensity 14
- 2θ = 43.39°, 2.085 Å, intensity 22
- 2θ = 43.91°, 2.062 Å, intensity 45
- 2θ = 44.84°, 2.021 Å, intensity 22
- 2θ = 62.13°, 1.494 Å, intensity 18

---

Please write out number 3 again, unchanged.
Calculated X-ray powder pattern
Compound: Na4EuGe2Se6
Radiation: Cu Kα (λ = 1.5418 Å)
Structure: a cell relaxed with GGA-PBE
Lines closer than 0.1° are merged.

Structural model:
```
Na4EuGe2Se6
1.0
3.600 -6.223 0.000
3.600 6.223 0.000
-2.394 0.000 7.727
Na Eu Ge Se
4 1 2 6
direct
0.000 0.000 0.000
0.341 0.659 0.000
0.672 0.328 0.000
0.837 0.163 0.500
0.505 0.495 0.500
0.120 0.777 0.341
0.223 0.880 0.659
0.093 0.430 0.250
0.258 0.232 0.749
0.405 0.067 0.250
0.570 0.907 0.750
0.768 0.742 0.251
0.933 0.595 0.750
```

Most intense lines, 15° ≤ 2θ ≤ 90°, in order of rising 2θ:
- 2θ = 16.15°, 5.487 Å, intensity 7
- 2θ = 23.02°, 3.863 Å, intensity 9
- 2θ = 25.06°, 3.554 Å, intensity 15
- 2θ = 29.23°, 3.056 Å, intensity 100
- 2θ = 39.96°, 2.256 Å, intensity 27
- 2θ = 43.59°, 2.076 Å, intensity 43
- 2θ = 49.87°, 1.829 Å, intensity 8
- 2θ = 53.35°, 1.717 Å, intensity 17
- 2θ = 60.61°, 1.528 Å, intensity 7
- 2θ = 66.06°, 1.414 Å, intensity 12
- 2θ = 70.01°, 1.344 Å, intensity 9
- 2θ = 71.23°, 1.324 Å, intensity 9